Record 1
Structure and calculated PXRD pattern of La3ThCd4 (DFT lattice parameters and positions (PBE); Cu Ka).
Kinematic intensities with the Lorentz-polarization factor, no thermal factor.

Atomic structure:
a b c (Å): 3.8864 5.5340 11.0838
angles (deg): 90.00 90.00 90.00
Element x y z (fractional)
La: 0.0000 0.0000 0.0000
La: 0.0000 0.5000 0.2532
La: 0.0000 0.5000 0.7468
Th: 0.0000 0.0000 0.5000
Cd: 0.5000 0.0000 0.2536
Cd: 0.5000 0.0000 0.7464
Cd: 0.5000 0.5000 0.0000
Cd: 0.5000 0.5000 0.5000

Most intense lines, 10 to 90 degrees two-theta, sorted by position:
2theta	I_rel
32.33	50.5
32.46	100.0
46.37	18.3
46.75	9.0
57.74	37.7
57.98	18.7
67.97	11.5
77.01	8.0
77.07	8.0
77.63	8.0



Record 2
Structure and calculated PXRD pattern of MgB6Ir12 (DFT lattice parameters and positions (PBE); Cu Ka).
Kinematic intensities with the Lorentz-polarization factor, no thermal factor.

Atomic structure:
a b c (Å): 6.5385 6.5385 6.5385
angles (deg): 104.06 104.06 104.06
Element x y z (fractional)
Mg: 0.0000 0.0000 0.0000
B: 0.2326 0.2326 0.6715
B: 0.2326 0.6715 0.2326
B: 0.3285 0.7674 0.7674
B: 0.6715 0.2326 0.2326
B: 0.7674 0.3285 0.7674
B: 0.7674 0.7674 0.3285
Ir: 0.1357 0.5000 0.8643
Ir: 0.1357 0.8643 0.5000
Ir: 0.1832 0.4439 0.4439
Ir: 0.4439 0.1832 0.4439
Ir: 0.4439 0.4439 0.1832
Ir: 0.5000 0.1357 0.8643
Ir: 0.5000 0.8643 0.1357
Ir: 0.5561 0.5561 0.8168
Ir: 0.5561 0.8168 0.5561
Ir: 0.8168 0.5561 0.5561
Ir: 0.8643 0.1357 0.5000
Ir: 0.8643 0.5000 0.1357

Most intense lines, 10 to 90 degrees two-theta, sorted by position:
2theta	I_rel
14.75	61.8
29.74	23.4
34.81	27.2
37.53	55.3
37.99	100.0
45.28	89.0
46.43	28.6
53.32	24.6
56.28	23.8
75.45	26.0